Entry 1:
Computed powder XRD pattern of Pr5Tl3 for copper Kα, from the PBE geometry in Alexandria.
Kinematic intensities with the Lorentz-polarization factor, no thermal factor.

Largest 10 diffraction maxima, sorted by position, 2θ from 5° to 70°:
2θ (°), Rel. int., (hkl)
28.2, 19, 0 0 2
29.0, 46, 3 2 1
31.4, 70, 4 2 0
31.6, 61, 2 0 2
32.3, 100, 4 1 1
34.7, 30, 2 2 2
40.2, 22, 4 0 2
40.8, 28, 5 2 1
52.6, 25, 4 1 3
60.0, 31, 6 4 2

Structure:
Cell: 12.7215 12.7215 6.3218 Å, 90.00 90.00 90.00°
Space group I4/mcm (No. 140)
Inequivalent atoms, fractional coordinates:
Pr1 0.0000 0.5000 0.2500 [4 per cell]
Pr2 0.0853 0.2194 0.0000 [16 per cell]
Tl1 0.0000 0.0000 0.2500 [4 per cell]
Tl2 0.1611 0.3389 0.5000 [8 per cell]

=====

Entry 2:
Computed powder XRD pattern of Pr7Tl5 for copper Kα, from the PBE geometry in Alexandria.
Kinematic intensities with the Lorentz-polarization factor, no thermal factor.

Largest 10 diffraction maxima, sorted by position, 2θ from 5° to 70°:
2θ (°), Rel. int., (hkl)
26.1, 31, 0 0 4
28.9, 100, 3 1 -1
29.2, 69, 3 1 -2
30.3, 70, 1 1 -4
30.9, 34, 2 0 -5
32.7, 81, 3 1 1
33.9, 44, 3 1 -4
35.1, 82, 1 1 4
36.0, 87, 0 2 0
60.5, 39, 6 2 -4

Structure:
Cell: 11.8534 4.9846 14.6399 Å, 90.00 110.93 90.00°
Space group C2/m (No. 12)
Inequivalent atoms, fractional coordinates:
Pr1 0.0000 0.0000 0.0000 [2 per cell]
Pr2 0.0120 0.5000 0.2845 [4 per cell]
Pr3 0.1736 0.0000 0.5407 [4 per cell]
Pr4 0.2371 0.0000 0.8220 [4 per cell]
Tl1 0.0000 0.5000 0.5000 [2 per cell]
Tl2 0.1576 0.5000 0.9416 [4 per cell]
Tl3 0.1963 0.0000 0.2988 [4 per cell]

=====

Entry 3:
Computed powder XRD pattern of Pr3Tl5 for copper Kα, from the PBE geometry in Alexandria.
Kinematic intensities with the Lorentz-polarization factor, no thermal factor.

Largest 10 diffraction maxima, sorted by position, 2θ from 5° to 70°:
2θ (°), Rel. int., (hkl)
32.0, 100, 2 2 2
32.5, 22, 3 1 2
33.0, 27, 1 3 0
33.3, 32, 0 0 4
34.5, 25, 4 0 0
37.2, 18, 2 2 3
37.6, 21, 3 1 3
48.7, 13, 4 0 4
54.9, 14, 5 3 0
63.8, 17, 3 5 2

Structure:
Cell: 10.4060 8.4318 10.7724 Å, 90.00 90.00 90.00°
Space group Cmcm (No. 63)
Inequivalent atoms, fractional coordinates:
Pr1 0.0000 0.1228 0.2500 [4 per cell]
Pr2 0.2038 0.5000 0.0000 [8 per cell]
Tl1 0.0000 0.1939 0.5423 [8 per cell]
Tl2 0.0000 0.4923 0.7500 [4 per cell]
Tl3 0.2171 0.2086 0.7500 [8 per cell]